Diffraction record for LiVO2. The XRD peak list is computed, not measured: it uses a cell relaxed with GGA+U and Cu Kα (λ = 1.5418 Å).

Main lines, sorted by position (2θ from 10° to 90°):
2θ 17.5, I = 100; 2θ 36.0, I = 38; 2θ 39.3, I = 29; 2θ 44.3, I = 56; 2θ 50.6, I = 16; 2θ 58.0, I = 23; 2θ 62.6, I = 22; 2θ 65.5, I = 13

Cell and atoms:
```
8
Lattice="2.970 0.000 0.000 -1.485 2.572 0.000 0.000 0.000 10.109" Properties=species:S:1:pos:R:3 pbc="T T T"
Li 0.000 1.715 0.000
Li 1.485 0.857 5.055
V 0.000 1.715 2.649
V 1.485 0.857 7.703
O 0.000 0.000 3.807
O 0.000 0.000 8.862
O 0.000 1.715 6.570
O 1.485 0.857 1.515
```